# 1
Computed X-ray diffraction stick pattern of Ba2SbF for Cu Kα (weighted mean of Kα1 and Kα2), from a DFT-relaxed cell (PBE, Alexandria).
Peak positions follow from Bragg's law for the DFT cell and can differ from measured ones.

Largest 6 diffraction maxima, by angle, 5° ≤ 2θ ≤ 70°:
d (Å), I_rel
7.871, 29
3.936, 32
3.267, 100
3.038, 90
2.796, 35
1.930, 19

Atomic structure:
```
data_Ba2SbF
_cell_length_a 7.7176
_cell_length_b 15.7425
_cell_length_c 9.8744
_cell_angle_alpha 90.00
_cell_angle_beta 90.00
_cell_angle_gamma 90.00
_space_group_name_H-M_alt 'C m c e'
_space_group_IT_number 64
_space_group_name_Hall '-C 2ac 2'
loop_
_atom_site_label
_atom_site_type_symbol
_atom_site_fract_x
_atom_site_fract_y
_atom_site_fract_z
Ba1 Ba 0.0000 0.1138 0.1176
Ba2 Ba 0.2500 0.1588 0.7500
Sb1 Sb 0.0000 0.1817 0.4432
F1 F 0.0000 0.0571 0.8574
```


# 2
Computed X-ray diffraction stick pattern of BaSbF6 for Cu Kα (weighted mean of Kα1 and Kα2), from a DFT-relaxed cell (PBE, Alexandria).
Peak positions follow from Bragg's law for the DFT cell and can differ from measured ones.

Largest 6 diffraction maxima, by angle, 5° ≤ 2θ ≤ 70°:
d (Å), I_rel
4.078, 100
3.072, 71
2.726, 30
2.266, 36
1.917, 39
1.633, 20

Atomic structure:
```
data_BaSbF6
_cell_length_a 5.4519
_cell_length_b 5.4519
_cell_length_c 16.1852
_cell_angle_alpha 90.00
_cell_angle_beta 90.00
_cell_angle_gamma 120.00
_space_group_name_H-M_alt 'R -3 m'
_space_group_IT_number 166
_space_group_name_Hall '-R 3 2"'
loop_
_atom_site_label
_atom_site_type_symbol
_atom_site_fract_x
_atom_site_fract_y
_atom_site_fract_z
Ba1 Ba 0.0000 0.0000 0.0000
Sb1 Sb 0.0000 0.0000 0.5000
F1 F 0.0043 0.5022 0.9124
```


# 3
Computed X-ray diffraction stick pattern of Ba2ZnSb2F for Cu Kα (weighted mean of Kα1 and Kα2), from a DFT-relaxed cell (PBE, Alexandria).
Peak positions follow from Bragg's law for the DFT cell and can differ from measured ones.

Largest 6 diffraction maxima, by angle, 5° ≤ 2θ ≤ 70°:
d (Å), I_rel
4.193, 20
3.715, 100
2.781, 28
2.627, 40
2.234, 32
1.914, 20

Atomic structure:
```
data_Ba2ZnSb2F
_cell_length_a 3.7145
_cell_length_b 3.7145
_cell_length_c 16.7735
_cell_angle_alpha 90.00
_cell_angle_beta 90.00
_cell_angle_gamma 90.00
_space_group_name_H-M_alt 'P 4/m m m'
_space_group_IT_number 123
_space_group_name_Hall '-P 4 2'
loop_
_atom_site_label
_atom_site_type_symbol
_atom_site_fract_x
_atom_site_fract_y
_atom_site_fract_z
Ba1 Ba 0.0000 0.0000 0.1458
Zn1 Zn 0.0000 0.0000 0.5000
Sb1 Sb 0.0000 0.0000 0.3489
F1 F 0.0000 0.0000 0.0000
```


# 4
Computed X-ray diffraction stick pattern of BaSe2F for Cu Kα (weighted mean of Kα1 and Kα2), from a DFT-relaxed cell (PBE, Alexandria).
Peak positions follow from Bragg's law for the DFT cell and can differ from measured ones.

Largest 6 diffraction maxima, by angle, 5° ≤ 2θ ≤ 70°:
d (Å), I_rel
3.885, 32
3.128, 74
2.715, 100
2.314, 63
1.876, 65
1.860, 32

Atomic structure:
```
data_BaSe2F
_cell_length_a 3.9329
_cell_length_b 3.9329
_cell_length_c 25.0224
_cell_angle_alpha 90.00
_cell_angle_beta 90.00
_cell_angle_gamma 90.00
_space_group_name_H-M_alt 'I -4 2 d'
_space_group_IT_number 122
_space_group_name_Hall 'I -4 2bw'
loop_
_atom_site_label
_atom_site_type_symbol
_atom_site_fract_x
_atom_site_fract_y
_atom_site_fract_z
Ba1 Ba 0.0000 0.0000 0.0000
Se1 Se 0.2503 0.2500 0.1250
F1 F 0.0000 0.0000 0.5000
```


# 5
Computed X-ray diffraction stick pattern of BaTmSe2F for Cu Kα (weighted mean of Kα1 and Kα2), from a DFT-relaxed cell (PBE, Alexandria).
Peak positions follow from Bragg's law for the DFT cell and can differ from measured ones.

Largest 6 diffraction maxima, by angle, 5° ≤ 2θ ≤ 70°:
d (Å), I_rel
3.729, 30
3.660, 63
2.970, 100
2.323, 46
2.139, 43
2.100, 44

Atomic structure:
```
data_BaTmSe2F
_cell_length_a 4.1998
_cell_length_b 4.1998
_cell_length_c 14.9166
_cell_angle_alpha 90.00
_cell_angle_beta 90.00
_cell_angle_gamma 90.00
_space_group_name_H-M_alt 'P 4/n m m'
_space_group_IT_number 129
loop_
_space_group_symop_operation_xyz
'x,y,z'
'-x,-y,-z'
'-y+1/2,x,z'
'y+1/2,-x,-z'
'-x+1/2,-y+1/2,z'
'x+1/2,y+1/2,-z'
'y,-x+1/2,z'
'-y,x+1/2,-z'
'x+1/2,-y,-z'
'-x+1/2,y,z'
'-y,-x,-z'
'y,x,z'
'-x,y+1/2,-z'
'x,-y+1/2,z'
'y+1/2,x+1/2,-z'
'-y+1/2,-x+1/2,z'
loop_
_atom_site_label
_atom_site_type_symbol
_atom_site_fract_x
_atom_site_fract_y
_atom_site_fract_z
Ba1 Ba 0.2500 0.2500 0.1092
Tm1 Tm 0.2500 0.2500 0.6122
Se1 Se 0.2500 0.2500 0.4123
Se2 Se 0.2500 0.2500 0.7851
F1 F 0.2500 0.7500 0.0000
```


# 6
Computed X-ray diffraction stick pattern of BaUSe2F for Cu Kα (weighted mean of Kα1 and Kα2), from a DFT-relaxed cell (PBE, Alexandria).
Peak positions follow from Bragg's law for the DFT cell and can differ from measured ones.

Largest 6 diffraction maxima, by angle, 5° ≤ 2θ ≤ 70°:
d (Å), I_rel
14.786, 77
3.696, 32
3.656, 76
2.975, 100
2.317, 47
2.103, 44

Atomic structure:
```
data_BaUSe2F
_cell_length_a 4.2068
_cell_length_b 4.2068
_cell_length_c 14.7859
_cell_angle_alpha 90.00
_cell_angle_beta 90.00
_cell_angle_gamma 90.00
_space_group_name_H-M_alt 'P 4/n m m'
_space_group_IT_number 129
loop_
_space_group_symop_operation_xyz
'x,y,z'
'-x,-y,-z'
'-y+1/2,x,z'
'y+1/2,-x,-z'
'-x+1/2,-y+1/2,z'
'x+1/2,y+1/2,-z'
'y,-x+1/2,z'
'-y,x+1/2,-z'
'x+1/2,-y,-z'
'-x+1/2,y,z'
'-y,-x,-z'
'y,x,z'
'-x,y+1/2,-z'
'x,-y+1/2,z'
'y+1/2,x+1/2,-z'
'-y+1/2,-x+1/2,z'
loop_
_atom_site_label
_atom_site_type_symbol
_atom_site_fract_x
_atom_site_fract_y
_atom_site_fract_z
Ba1 Ba 0.2500 0.2500 0.1100
U1 U 0.2500 0.2500 0.6024
Se1 Se 0.2500 0.2500 0.4032
Se2 Se 0.2500 0.2500 0.7845
F1 F 0.2500 0.7500 0.0000
```


# 7
Computed X-ray diffraction stick pattern of Ba2USe3F3 for Cu Kα (weighted mean of Kα1 and Kα2), from a DFT-relaxed cell (PBE, Alexandria).
Peak positions follow from Bragg's law for the DFT cell and can differ from measured ones.

Largest 6 diffraction maxima, by angle, 5° ≤ 2θ ≤ 70°:
d (Å), I_rel
3.957, 100
3.448, 74
2.809, 37
2.600, 67
2.285, 66
2.173, 71

Atomic structure:
```
data_Ba2USe3F3
_cell_length_a 7.9140
_cell_length_b 7.9140
_cell_length_c 3.9894
_cell_angle_alpha 90.00
_cell_angle_beta 90.00
_cell_angle_gamma 120.00
_space_group_name_H-M_alt 'P -6 2 m'
_space_group_IT_number 189
_space_group_name_Hall 'P -6 -2'
loop_
_atom_site_label
_atom_site_type_symbol
_atom_site_fract_x
_atom_site_fract_y
_atom_site_fract_z
Ba1 Ba 0.3333 0.6667 0.0000
U1 U 0.0000 0.0000 0.5000
Se1 Se 0.0000 0.6414 0.5000
F1 F 0.0000 0.1858 0.0000
```


# 8
Computed X-ray diffraction stick pattern of Ba2SmTlF8 for Cu Kα (weighted mean of Kα1 and Kα2), from a DFT-relaxed cell (PBE, Alexandria).
Peak positions follow from Bragg's law for the DFT cell and can differ from measured ones.

Largest 6 diffraction maxima, by angle, 5° ≤ 2θ ≤ 70°:
d (Å), I_rel
3.534, 100
3.040, 19
2.171, 40
2.150, 19
1.863, 17
1.837, 32

Atomic structure:
```
data_Ba2SmTlF8
_cell_length_a 6.0805
_cell_length_b 6.0805
_cell_length_c 12.4062
_cell_angle_alpha 90.00
_cell_angle_beta 90.00
_cell_angle_gamma 90.00
_space_group_name_H-M_alt 'I -4 m 2'
_space_group_IT_number 119
_space_group_name_Hall 'I -4 -2'
loop_
_atom_site_label
_atom_site_type_symbol
_atom_site_fract_x
_atom_site_fract_y
_atom_site_fract_z
Ba1 Ba 0.0000 0.0000 0.0000
Ba2 Ba 0.0000 0.5000 0.2500
Sm1 Sm 0.0000 0.5000 0.7500
Tl1 Tl 0.0000 0.0000 0.5000
F1 F 0.2205 0.2634 0.8605
```


# 9
Computed X-ray diffraction stick pattern of BaSnF4 for Cu Kα (weighted mean of Kα1 and Kα2), from a DFT-relaxed cell (PBE, Alexandria).
Peak positions follow from Bragg's law for the DFT cell and can differ from measured ones.

Largest 6 diffraction maxima, by angle, 5° ≤ 2θ ≤ 70°:
d (Å), I_rel
3.492, 100
3.133, 30
2.215, 28
2.103, 33
1.870, 36
1.739, 16

Atomic structure:
```
data_BaSnF4
_cell_length_a 4.4303
_cell_length_b 4.4303
_cell_length_c 11.3463
_cell_angle_alpha 90.00
_cell_angle_beta 90.00
_cell_angle_gamma 90.00
_space_group_name_H-M_alt 'P 4/n m m'
_space_group_IT_number 129
loop_
_space_group_symop_operation_xyz
'x,y,z'
'-x,-y,-z'
'-y+1/2,x,z'
'y+1/2,-x,-z'
'-x+1/2,-y+1/2,z'
'x+1/2,y+1/2,-z'
'y,-x+1/2,z'
'-y,x+1/2,-z'
'x+1/2,-y,-z'
'-x+1/2,y,z'
'-y,-x,-z'
'y,x,z'
'-x,y+1/2,-z'
'x,-y+1/2,z'
'y+1/2,x+1/2,-z'
'-y+1/2,-x+1/2,z'
loop_
_atom_site_label
_atom_site_type_symbol
_atom_site_fract_x
_atom_site_fract_y
_atom_site_fract_z
Ba1 Ba 0.2500 0.2500 0.1312
Sn1 Sn 0.2500 0.2500 0.6321
F1 F 0.2500 0.2500 0.8175
F2 F 0.2500 0.7500 0.0000
F3 F 0.2500 0.7500 0.3124
```


# 10
Computed X-ray diffraction stick pattern of Ba4Sn2F for Cu Kα (weighted mean of Kα1 and Kα2), from a DFT-relaxed cell (PBE, Alexandria).
Peak positions follow from Bragg's law for the DFT cell and can differ from measured ones.

Largest 6 diffraction maxima, by angle, 5° ≤ 2θ ≤ 70°:
d (Å), I_rel
3.541, 100
3.103, 56
2.973, 89
2.699, 81
2.053, 35
2.037, 34

Atomic structure:
```
data_Ba4Sn2F
_cell_length_a 5.3985
_cell_length_b 5.3985
_cell_length_c 18.9635
_cell_angle_alpha 90.00
_cell_angle_beta 90.00
_cell_angle_gamma 90.00
_space_group_name_H-M_alt 'I 4/m m m'
_space_group_IT_number 139
_space_group_name_Hall '-I 4 2'
loop_
_atom_site_label
_atom_site_type_symbol
_atom_site_fract_x
_atom_site_fract_y
_atom_site_fract_z
Ba1 Ba 0.0000 0.0000 0.1830
Ba2 Ba 0.0000 0.5000 0.0000
Sn1 Sn 0.0000 0.0000 0.3696
F1 F 0.0000 0.0000 0.0000
```


# 11
Computed X-ray diffraction stick pattern of BaSn2F6 for Cu Kα (weighted mean of Kα1 and Kα2), from a DFT-relaxed cell (PBE, Alexandria).
Peak positions follow from Bragg's law for the DFT cell and can differ from measured ones.

Largest 6 diffraction maxima, by angle, 5° ≤ 2θ ≤ 70°:
d (Å), I_rel
3.653, 39
3.621, 100
3.377, 49
3.332, 71
3.106, 66
1.993, 55

Atomic structure:
```
data_BaSn2F6
_cell_length_a 12.1650
_cell_length_b 8.5799
_cell_length_c 8.2196
_cell_angle_alpha 90.00
_cell_angle_beta 124.74
_cell_angle_gamma 90.00
_space_group_name_H-M_alt 'C 1 2/c 1'
_space_group_IT_number 15
_space_group_name_Hall '-C 2yc'
loop_
_atom_site_label
_atom_site_type_symbol
_atom_site_fract_x
_atom_site_fract_y
_atom_site_fract_z
Ba1 Ba 0.0000 0.1452 0.2500
Sn1 Sn 0.1654 0.4262 0.7511
F1 F 0.0842 0.3585 0.1047
F2 F 0.1379 0.0175 0.6168
F3 F 0.1922 0.3882 0.5131
```


# 12
Computed X-ray diffraction stick pattern of BaSr2F7 for Cu Kα (weighted mean of Kα1 and Kα2), from a DFT-relaxed cell (PBE, Alexandria).
Peak positions follow from Bragg's law for the DFT cell and can differ from measured ones.

Largest 6 diffraction maxima, by angle, 5° ≤ 2θ ≤ 70°:
d (Å), I_rel
11.943, 47
3.981, 51
3.642, 100
3.302, 62
2.148, 74
2.109, 63

Atomic structure:
```
data_BaSr2F7
_cell_length_a 4.2957
_cell_length_b 4.2957
_cell_length_c 35.8295
_cell_angle_alpha 90.00
_cell_angle_beta 90.00
_cell_angle_gamma 120.00
_space_group_name_H-M_alt 'R -3 m'
_space_group_IT_number 166
_space_group_name_Hall '-R 3 2"'
loop_
_atom_site_label
_atom_site_type_symbol
_atom_site_fract_x
_atom_site_fract_y
_atom_site_fract_z
Ba1 Ba 0.0000 0.0000 0.0000
Sr1 Sr 0.0000 0.0000 0.4326
F1 F 0.0000 0.0000 0.0760
F2 F 0.0000 0.0000 0.2203
F3 F 0.0000 0.0000 0.3613
F4 F 0.0000 0.0000 0.5000
```